# Pr2MoPbO6
Simulated X-ray diffraction stick pattern, a wavelength of 1.5418 Å. Input: the PBE+U geometry in Alexandria.
No peak broadening, texture or thermal motion is included.

Main lines, in order of falling intensity (10° ≤ 2θ ≤ 90°):
hkl  Position (°2θ)  I_rel
1 1 1  27.52  100
2 0 0  32.08  34
3 1 1  54.44  31
2 0 2  45.56  26
2 2 0  46.00  18
0 0 2  31.47  11

Crystal structure
Unit cell a=5.580 b=5.580 c=5.685 alpha=90.00 beta=90.00 gamma=90.00
Fractional positions:
Pr: 0.000 0.500 0.000
Pr: 0.500 0.000 0.000
Mo: 0.000 0.000 0.607
Pb: 0.500 0.500 0.559
O: 0.000 0.000 0.282
O: 0.230 0.230 0.775
O: 0.230 0.770 0.775
O: 0.500 0.500 0.144
O: 0.770 0.230 0.775
O: 0.770 0.770 0.775